1.
Starting from the GGA-PBE geometry in Alexandria, the powder X-ray diffraction pattern of Tb3Mn3Ga2Si was computed for a wavelength of 1.5418 Å.
Peak positions follow from Bragg's law for the DFT cell and can differ from measured ones.

Structure:
```
data_Tb3Mn3Ga2Si
_cell_length_a 6.9898
_cell_length_b 6.9898
_cell_length_c 4.1770
_cell_angle_alpha 90.00
_cell_angle_beta 90.00
_cell_angle_gamma 120.00
_space_group_name_H-M_alt 'P -6'
_space_group_IT_number 174
_space_group_name_Hall 'P -6'
loop_
_atom_site_label
_atom_site_fract_x
_atom_site_fract_y
_atom_site_fract_z
_atom_site_occupancy
Tb1 0.0041 0.5818 0.0000 1
Mn1 0.0124 0.2402 0.5000 1
Ga1 0.0000 0.0000 0.0000 1
Ga2 0.6667 0.3333 0.5000 1
Si1 0.3333 0.6667 0.5000 1
```

The 10 most intense peaks (15° ≤ 2θ ≤ 90°), by angle:
- hkl 0 0 1, 2θ 21.27, rel. 18.5
- hkl 1 1 0, 2θ 25.49, rel. 18.2
- hkl 2 0 0, 2θ 29.51, rel. 31.0
- hkl 1 1 1, 2θ 33.43, rel. 88.7
- hkl 2 0 1, 2θ 36.67, rel. 100.0
- hkl 1 2 0, 2θ 39.38, rel. 39.3
- hkl 0 0 2, 2θ 43.32, rel. 26.7
- hkl 1 3 0, 2θ 54.67, rel. 18.5
- hkl 3 1 1, 2θ 59.32, rel. 34.0
- hkl 1 2 2, 2θ 59.97, rel. 22.0

=====

2.
Starting from the GGA-PBE geometry in Alexandria, the powder X-ray diffraction pattern of Sc2Zn15Ir2 was computed for a wavelength of 1.5418 Å.
Peak positions follow from Bragg's law for the DFT cell and can differ from measured ones.

Structure:
```
data_Sc2Zn15Ir2
_cell_length_a 8.8971
_cell_length_b 8.8971
_cell_length_c 12.9171
_cell_angle_alpha 90.00
_cell_angle_beta 90.00
_cell_angle_gamma 120.00
_space_group_name_H-M_alt 'R -3 m'
_space_group_IT_number 166
_space_group_name_Hall '-R 3 2"'
loop_
_atom_site_label
_atom_site_fract_x
_atom_site_fract_y
_atom_site_fract_z
_atom_site_occupancy
Sc1 0.0000 0.0000 0.1797 1
Zn1 0.0000 0.2859 0.5000 1
Zn2 0.0000 0.5000 0.0000 1
Zn3 0.0069 0.5034 0.6449 1
Ir1 0.0000 0.0000 0.3876 1
```

The 10 most intense peaks (15° ≤ 2θ ≤ 90°), by angle:
- hkl 3 0 0, 2θ 34.93, rel. 45.6
- hkl 0 2 4, 2θ 36.30, rel. 53.1
- hkl 2 2 0, 2θ 40.56, rel. 80.6
- hkl 0 3 3, 2θ 40.91, rel. 30.4
- hkl 2 1 4, 2θ 41.77, rel. 27.9
- hkl 2 0 5, 2θ 42.11, rel. 54.9
- hkl 1 3 1, 2θ 42.90, rel. 21.7
- hkl 2 2 3, 2θ 45.92, rel. 100.0
- hkl 1 1 6, 2θ 46.88, rel. 25.0
- hkl 4 0 1, 2θ 47.74, rel. 21.7

=====

3.
Starting from the GGA-PBE geometry in Alexandria, the powder X-ray diffraction pattern of LiCaPbBr5 was computed for a wavelength of 1.5418 Å.
Peak positions follow from Bragg's law for the DFT cell and can differ from measured ones.

Structure:
```
data_LiCaPbBr5
_cell_length_a 9.180
_cell_length_b 12.377
_cell_length_c 10.427
_cell_angle_alpha 90.00
_cell_angle_beta 114.64
_cell_angle_gamma 90.00
_space_group_name_H-M_alt 'C 1 2/c 1'
_space_group_IT_number 15
_space_group_name_Hall '-C 2yc'
loop_
_atom_site_label
_atom_site_fract_x
_atom_site_fract_y
_atom_site_fract_z
_atom_site_occupancy
Li1 0.000 0.184 0.250 1
Ca1 0.000 0.500 0.000 1
Pb1 0.000 0.135 0.750 1
Br1 0.000 0.393 0.750 1
Br2 0.145 0.304 0.148 1
Br3 0.164 0.052 0.443 1
```

The 10 most intense peaks (15° ≤ 2θ ≤ 90°), by angle:
- hkl 0 2 1, 2θ 17.11, rel. 38.5
- hkl 1 1 -2, 2θ 18.70, rel. 53.7
- hkl 1 1 -3, 2θ 26.66, rel. 79.3
- hkl 1 3 1, 2θ 27.46, rel. 61.4
- hkl 3 1 -1, 2θ 30.38, rel. 100.0
- hkl 3 1 -2, 2θ 30.59, rel. 26.9
- hkl 0 4 2, 2θ 34.62, rel. 29.5
- hkl 1 5 -1, 2θ 37.97, rel. 36.0
- hkl 3 3 0, 2θ 39.06, rel. 30.1
- hkl 4 0 -4, 2θ 44.31, rel. 26.8

=====

> Number 1 is which compound?

Tb3Mn3Ga2Si